The following is a simulated XRD peak list of Co4NiO8. It was derived from a structure optimized by DFT (GGA+U), using a wavelength of 1.5418 Å.

Top 10 peaks for 5 to 70 degrees two-theta, by angle:
h k l  2θ/deg  I/Imax
0 0 1  18.3  100.0
1 1 0  19.3  17.5
0 0 2  37.1  14.6
4 0 -1  37.4  27.5
2 2 0  39.1  18.1
2 2 -2  44.6  63.0
4 0 0  45.1  31.1
2 2 -3  58.1  10.2
2 2 2  64.2  16.4
6 2 -2  66.4  16.8

```
data_Co4NiO8
_cell_length_a 9.765
_cell_length_b 5.614
_cell_length_c 5.884
_cell_angle_alpha 90.00
_cell_angle_beta 124.48
_cell_angle_gamma 90.00
_space_group_name_H-M_alt 'C 1 2/m 1'
_space_group_IT_number 12
loop_
_space_group_symop_operation_xyz
'x,y,z'
'-x,-y,-z'
'-x,y,-z'
'x,-y,z'
'x+1/2,y+1/2,z'
'-x+1/2,-y+1/2,-z'
'-x+1/2,y+1/2,-z'
'x+1/2,-y+1/2,z'
loop_
_atom_site_label
_atom_site_fract_x
_atom_site_fract_y
_atom_site_fract_z
Co1 0.000 0.000 0.000
Co2 0.000 0.500 0.500
Co3 0.250 0.250 0.000
Ni1 0.000 0.500 0.000
O1 0.014 0.264 0.795
O2 0.233 0.500 0.196
O3 0.241 0.000 0.206
```